This entry pairs a crystal structure of Li5Nd2Pd12 with its theoretical XRD peak list. Radiation: CuKα. Structure: DFT lattice parameters and positions (PBE).

Structural model:
abc: 6.886 6.886 6.886
angles: 81.13 81.13 81.13
Sites, in units of the cell vectors:
Li (0.000, 0.000, 0.500)
Li (0.000, 0.500, 0.000)
Li (0.089, 0.089, 0.089)
Li (0.500, 0.000, 0.000)
Li (0.911, 0.911, 0.911)
Nd (0.350, 0.350, 0.350)
Nd (0.650, 0.650, 0.650)
Pd (0.000, 0.308, 0.692)
Pd (0.000, 0.692, 0.308)
Pd (0.146, 0.662, 0.662)
Pd (0.308, 0.000, 0.692)
Pd (0.308, 0.692, 0.000)
Pd (0.338, 0.338, 0.854)
Pd (0.338, 0.854, 0.338)
Pd (0.662, 0.146, 0.662)
Pd (0.662, 0.662, 0.146)
Pd (0.692, 0.000, 0.308)
Pd (0.692, 0.308, 0.000)
Pd (0.854, 0.338, 0.338)

Principal peaks in the range 2θ = 10–80°, by angle:
13.13 deg, I 22; 19.83 deg, I 15; 26.44 deg, I 24; 31.21 deg, I 23; 34.70 deg, I 29; 35.04 deg, I 37; 39.64 deg, I 32; 40.12 deg, I 100; 40.28 deg, I 18; 45.14 deg, I 26; 65.86 deg, I 18; 73.23 deg, I 14